TcSnP2O8: simulated powder X-ray diffraction pattern (Cu Kα (λ = 1.5418 Å)), based on the PBE geometry in Alexandria.
Intensities are scaled so that the largest is 100.

Crystal structure
a = 8.2275 Å, b = 5.2927 Å, c = 7.4796 Å
α = 90.00°, β = 91.15°, γ = 90.00°
Space group C2/m (No. 12)
Unique sites:
Tc 0.0000 0.0000 0.0000 x2
Sn 0.0000 0.0000 0.5000 x2
P 0.1421 0.5000 0.7820 x4
O 0.0304 0.2591 0.8012 x8
O 0.2119 0.5000 0.5956 x4
O 0.2362 0.0000 0.0590 x4

Peak list (10 most intense, 2θ from 5° to 70°, low angle first)
2θ/deg  d/Å  Rel. int.
19.9  4.451  100
21.6  4.113  61
23.4  3.807  24
31.1  2.878  84
31.4  2.848  69
33.9  2.646  37
36.9  2.435  59
41.8  2.160  32
44.0  2.057  31
53.4  1.716  25

---

Pa2ZnNi5: simulated powder X-ray diffraction pattern (Cu Kα (λ = 1.5418 Å)), based on the PBE geometry in Alexandria.
Intensities are scaled so that the largest is 100.

Crystal structure
a = 5.9833 Å, b = 5.9833 Å, c = 6.9003 Å
α = 90.00°, β = 90.00°, γ = 90.00°
Space group I4mm (No. 107)
Unique sites:
Pa 0.0000 0.5000 0.0000 x4
Zn 0.0000 0.0000 0.1308 x2
Ni 0.0000 0.0000 0.4802 x2
Ni 0.2060 0.2060 0.7575 x8

Peak list (10 most intense, 2θ from 5° to 70°, low angle first)
2θ/deg  d/Å  Rel. int.
21.0  4.231  40
29.9  2.992  26
33.5  2.674  51
39.9  2.260  100
42.7  2.115  46
48.1  1.892  15
50.6  1.803  10
55.4  1.659  18
57.7  1.597  13
62.1  1.496  16

---

Li4PmAg8: simulated powder X-ray diffraction pattern (Cu Kα (λ = 1.5418 Å)), based on the PBE geometry in Alexandria.
Intensities are scaled so that the largest is 100.

Crystal structure
a = 9.4191 Å, b = 9.4191 Å, c = 5.2509 Å
α = 90.00°, β = 90.00°, γ = 90.00°
Space group I4/mmm (No. 139)
Unique sites:
Li 0.2500 0.2500 0.2500 x8
Pm 0.0000 0.0000 0.0000 x2
Ag 0.0000 0.2180 0.5000 x8
Ag 0.0000 0.3488 0.0000 x8

Peak list (10 most intense, 2θ from 5° to 70°, low angle first)
2θ/deg  d/Å  Rel. int.
18.8  4.710  34
26.8  3.330  26
33.2  2.695  46
34.2  2.625  47
38.2  2.355  23
38.5  2.339  100
43.2  2.095  24
43.9  2.062  16
64.0  1.454  21
69.3  1.356  24

---

Na8NO3: simulated powder X-ray diffraction pattern (Cu Kα (λ = 1.5418 Å)), based on the PBE geometry in Alexandria.
Intensities are scaled so that the largest is 100.

Crystal structure
a = 5.6656 Å, b = 5.6656 Å, c = 5.6656 Å
α = 90.00°, β = 90.00°, γ = 90.00°
Space group Pm-3m (No. 221)
Unique sites:
Na 0.2469 0.2469 0.2469 x8
N 0.5000 0.5000 0.5000 x1
O 0.0000 0.0000 0.5000 x3

Peak list (7 most intense, 2θ from 5° to 70°, low angle first)
2θ/deg  d/Å  Rel. int.
15.6  5.666  1
27.3  3.271  20
31.6  2.833  38
45.3  2.003  100
53.7  1.708  5
56.2  1.636  10
66.0  1.416  13

---

CaCrOs: simulated powder X-ray diffraction pattern (Cu Kα (λ = 1.5418 Å)), based on the PBE geometry in Alexandria.
Intensities are scaled so that the largest is 100.

Crystal structure
a = 3.9477 Å, b = 3.9477 Å, c = 4.7553 Å
α = 90.00°, β = 90.00°, γ = 120.00°
Space group P3m1 (No. 156)
Unique sites:
Ca 0.0000 0.0000 0.0000 x1
Cr 0.6667 0.3333 0.4814 x1
Os 0.3333 0.6667 0.5232 x1

Peak list (10 most intense, 2θ from 5° to 70°, low angle first)
2θ/deg  d/Å  Rel. int.
18.7  4.755  62
26.1  3.419  40
32.2  2.776  100
37.8  2.378  21
46.0  1.974  37
46.5  1.952  20
50.0  1.823  29
57.3  1.609  19
61.0  1.519  30
64.8  1.438  14

---

AcLa2Pm4Nd: simulated powder X-ray diffraction pattern (Cu Kα (λ = 1.5418 Å)), based on the PBE geometry in Alexandria.
Intensities are scaled so that the largest is 100.

Crystal structure
a = 5.2735 Å, b = 5.3076 Å, c = 10.4092 Å
α = 90.00°, β = 90.11°, γ = 90.00°
Space group P2/m (No. 10)
Unique sites:
Ac 0.0000 0.0000 0.0000 x1
La 0.0000 0.0000 0.5000 x1
La 0.5000 0.5000 0.0000 x1
Pm 0.0005 0.5000 0.2553 x2
Pm 0.5004 0.0000 0.2553 x2
Nd 0.5000 0.5000 0.5000 x1

Peak list (10 most intense, 2θ from 5° to 70°, low angle first)
2θ/deg  d/Å  Rel. int.
29.4  3.038  100
33.8  2.654  17
34.0  2.637  17
34.5  2.602  16
48.7  1.870  13
49.0  1.858  12
49.2  1.852  12
57.7  1.596  15
58.0  1.589  15
61.0  1.519  13

---

La6SiRh2Cl3: simulated powder X-ray diffraction pattern (Cu Kα (λ = 1.5418 Å)), based on the PBE geometry in Alexandria.
Intensities are scaled so that the largest is 100.

Crystal structure
a = 7.3790 Å, b = 12.7471 Å, c = 7.7302 Å
α = 90.00°, β = 108.84°, γ = 90.00°
Space group C2/m (No. 12)
Unique sites:
La 0.2264 0.0000 0.2157 x4
La 0.2427 0.3273 0.2180 x8
Si 0.0000 0.5000 0.0000 x2
Rh 0.0000 0.1674 0.0000 x4
Cl 0.0000 0.0000 0.5000 x2
Cl 0.0000 0.3416 0.5000 x4

Peak list (10 most intense, 2θ from 5° to 70°, low angle first)
2θ/deg  d/Å  Rel. int.
12.1  7.316  27
25.5  3.493  34
29.1  3.069  52
29.2  3.054  100
41.0  2.203  35
41.1  2.196  16
42.5  2.127  55
52.4  1.746  29
69.5  1.352  11
69.7  1.348  15

---

CsDySnCl6: simulated powder X-ray diffraction pattern (Cu Kα (λ = 1.5418 Å)), based on the PBE geometry in Alexandria.
Intensities are scaled so that the largest is 100.

Crystal structure
a = 7.3099 Å, b = 7.3099 Å, c = 7.5641 Å
α = 90.00°, β = 90.00°, γ = 120.00°
Space group P312 (No. 149)
Unique sites:
Cs 0.0000 0.0000 0.0000 x1
Dy 0.6667 0.3333 0.5000 x1
Sn 0.3333 0.6667 0.5000 x1
Cl 0.3871 0.0212 0.7031 x6

Peak list (10 most intense, 2θ from 5° to 70°, low angle first)
2θ/deg  d/Å  Rel. int.
11.7  7.564  27
18.3  4.855  100
24.4  3.655  29
27.1  3.291  21
30.6  2.920  22
34.1  2.628  67
39.5  2.281  28
42.9  2.110  23
53.6  1.710  13
55.9  1.645  14